(1)
Starting from the PBE geometry in Alexandria, the X-ray powder pattern of Nd8NiIr3I4 was computed for copper Kα.

Crystal structure
Cell: 8.4023 8.4023 24.3623 Å, 90.00 90.00 120.00°
Space group R-3m (No. 166, hexagonal axes)
Symmetry-distinct sites (fractional):
1 Nd 0.0000 0.0000 0.2285 x6
2 Nd 0.0015 0.5008 0.2277 x18
3 Ni 0.0000 0.0000 0.5000 x3
4 Ir 0.0000 0.5000 0.5000 x9
5 I 0.0000 0.0000 0.0000 x3
6 I 0.0000 0.5000 0.0000 x9

Most intense lines, 10° ≤ 2θ ≤ 90°, in order of rising 2θ:
2theta, d (Å), Rel. int.
10.89, 8.121, 23.6
28.58, 3.123, 100.0
35.70, 2.515, 14.7
38.55, 2.335, 27.2
43.06, 2.101, 38.5
48.10, 1.892, 8.9
52.50, 1.743, 18.6
59.16, 1.562, 7.8
70.16, 1.341, 15.4
85.31, 1.138, 8.8

=====

(2)
Starting from the PBE geometry in Alexandria, the X-ray powder pattern of AcZr2F11 was computed for copper Kα.

Crystal structure
Cell: 7.945 10.356 11.544 Å, 90.00 90.00 90.00°
Space group Ibam (No. 72)
Symmetry-distinct sites (fractional):
1 Ac 0.000 0.000 0.250 x4
2 Zr 0.131 0.320 0.000 x8
3 F 0.000 0.500 0.000 x4
4 F 0.104 0.188 0.132 x16
5 F 0.130 0.280 0.500 x8
6 F 0.240 0.078 0.375 x16

Most intense lines, 10° ≤ 2θ ≤ 90°, in order of rising 2θ:
2theta, d (Å), Rel. int.
14.05, 6.304, 36.6
20.87, 4.257, 100.0
21.89, 4.061, 14.2
23.08, 3.854, 53.5
25.22, 3.531, 21.6
27.25, 3.272, 13.3
28.18, 3.166, 20.2
42.41, 2.131, 43.3
45.96, 1.974, 21.8
48.05, 1.893, 16.5

=====

(3)
Starting from the PBE geometry in Alexandria, the X-ray powder pattern of Mn3Be was computed for copper Kα.

Crystal structure
Cell: 2.626 3.079 5.184 Å, 90.00 90.00 90.00°
Space group Pmmm (No. 47)
Symmetry-distinct sites (fractional):
1 Mn 0.000 0.000 0.000 x1
2 Mn 0.500 0.500 0.267 x2
3 Be 0.000 0.000 0.500 x1

Most intense lines, 10° ≤ 2θ ≤ 90°, in order of rising 2θ:
2theta, d (Å), Rel. int.
17.11, 5.184, 30.4
29.00, 3.079, 14.9
33.86, 2.647, 30.3
38.42, 2.343, 21.1
45.39, 1.998, 100.0
45.76, 1.983, 94.7
49.40, 1.845, 74.1
60.10, 1.539, 20.0
81.42, 1.182, 30.1
89.52, 1.095, 23.8